Calculated powder diffraction line list
Compound: Pr3SmEr2
Radiation: Cu Ka
Structure: the GGA-PBE geometry in Alexandria
Neutral-atom scattering factors, no anomalous dispersion.

Unit cell a=9.0843 b=9.0843 c=5.6550 alpha=90.00 beta=90.00 gamma=67.98
Positions (direct):
Pr (0.0911, 0.9089, 0.7500)
Pr (0.1088, 0.3711, 0.2500)
Pr (0.3711, 0.1088, 0.7500)
Pr (0.6289, 0.8912, 0.2500)
Pr (0.8912, 0.6289, 0.7500)
Pr (0.9089, 0.0911, 0.2500)
Sm (0.2673, 0.7327, 0.2500)
Sm (0.7327, 0.2673, 0.7500)
Er (0.2990, 0.4894, 0.7500)
Er (0.4894, 0.2990, 0.2500)
Er (0.5106, 0.7010, 0.7500)
Er (0.7010, 0.5106, 0.2500)

Top 12 peaks for 5 to 70 degrees two-theta, by angle:
8.422 Å, 10.50°, intensity 15
3.770 Å, 23.60°, intensity 14
3.522 Å, 25.29°, intensity 15
3.377 Å, 26.39°, intensity 14
2.888 Å, 30.96°, intensity 23
2.852 Å, 31.36°, intensity 72
2.827 Å, 31.64°, intensity 48
2.667 Å, 33.60°, intensity 100
2.021 Å, 44.86°, intensity 17
1.600 Å, 57.62°, intensity 21
1.567 Å, 58.93°, intensity 15
1.450 Å, 64.22°, intensity 14

Calculated powder diffraction line list
Compound: PPtSe2
Radiation: Cu Ka
Structure: the GGA-PBE geometry in Alexandria
Neutral-atom scattering factors, no anomalous dispersion.

Unit cell a=6.4951 b=6.4951 c=6.4951 alpha=146.88 beta=143.71 gamma=49.94
Positions (direct):
P (0.0000, 0.0000, 0.0000)
Pt (0.5000, 0.5000, 0.0000)
Se (0.3511, 0.8511, 0.5000)
Se (0.6489, 0.1489, 0.5000)

Top 12 peaks for 5 to 70 degrees two-theta, by angle:
5.888 Å, 15.05°, intensity 66
3.826 Å, 23.25°, intensity 100
2.693 Å, 33.27°, intensity 61
2.478 Å, 36.26°, intensity 72
2.023 Å, 44.81°, intensity 20
2.002 Å, 45.29°, intensity 66
1.963 Å, 46.26°, intensity 15
1.851 Å, 49.23°, intensity 15
1.666 Å, 55.12°, intensity 21
1.617 Å, 56.93°, intensity 26
1.553 Å, 59.51°, intensity 12
1.366 Å, 68.74°, intensity 11

Calculated powder diffraction line list
Compound: Ac6LaDy3
Radiation: Cu Ka
Structure: the GGA-PBE geometry in Alexandria
Neutral-atom scattering factors, no anomalous dispersion.

Unit cell a=12.7483 b=3.8152 c=17.0801 alpha=90.00 beta=104.04 gamma=90.00
Positions (direct):
Ac (0.1078, 0.2500, 0.3527)
Ac (0.1110, 0.7500, 0.9588)
Ac (0.1639, 0.2500, 0.7705)
Ac (0.3444, 0.2500, 0.1107)
Ac (0.3636, 0.7500, 0.3156)
Ac (0.3730, 0.2500, 0.5228)
Ac (0.6270, 0.7500, 0.4772)
Ac (0.6364, 0.2500, 0.6844)
Ac (0.6556, 0.7500, 0.8893)
Ac (0.8361, 0.7500, 0.2295)
Ac (0.8890, 0.2500, 0.0412)
Ac (0.8922, 0.7500, 0.6473)
La (0.1286, 0.7500, 0.5569)
La (0.8714, 0.2500, 0.4431)
Dy (0.1124, 0.7500, 0.1694)
Dy (0.3867, 0.7500, 0.9277)
Dy (0.3922, 0.7500, 0.7135)
Dy (0.6078, 0.2500, 0.2865)
Dy (0.6133, 0.2500, 0.0723)
Dy (0.8876, 0.2500, 0.8306)

Top 12 peaks for 5 to 70 degrees two-theta, by angle:
3.163 Å, 28.21°, intensity 44
3.143 Å, 28.40°, intensity 71
3.092 Å, 28.88°, intensity 100
3.023 Å, 29.55°, intensity 99
2.969 Å, 30.09°, intensity 61
2.957 Å, 30.23°, intensity 96
2.900 Å, 30.83°, intensity 60
2.805 Å, 31.91°, intensity 34
1.908 Å, 47.67°, intensity 33
1.623 Å, 56.70°, intensity 33
1.613 Å, 57.09°, intensity 32
1.603 Å, 57.49°, intensity 38

Calculated powder diffraction line list
Compound: Li2NpNb3N6
Radiation: Cu Ka
Structure: the GGA-PBE geometry in Alexandria
Neutral-atom scattering factors, no anomalous dispersion.

Unit cell a=7.0341 b=7.0341 c=6.4846 alpha=105.45 beta=105.45 gamma=25.86
Positions (direct):
Li (0.1761, 0.1761, 0.3632)
Li (0.8239, 0.8239, 0.6368)
Np (0.5000, 0.5000, 0.0000)
Nb (0.1743, 0.1743, 0.8258)
Nb (0.5000, 0.5000, 0.5000)
Nb (0.8257, 0.8257, 0.1742)
N (0.0010, 0.0010, 0.7359)
N (0.3354, 0.3354, 0.3973)
N (0.3347, 0.3347, 0.9310)
N (0.6653, 0.6653, 0.0690)
N (0.6646, 0.6646, 0.6027)
N (0.9990, 0.9990, 0.2641)

Top 12 peaks for 5 to 70 degrees two-theta, by angle:
6.595 Å, 13.43°, intensity 71
6.238 Å, 14.20°, intensity 67
4.017 Å, 22.13°, intensity 26
3.062 Å, 29.17°, intensity 30
2.820 Å, 31.73°, intensity 26
2.657 Å, 33.73°, intensity 36
2.560 Å, 35.05°, intensity 100
2.258 Å, 39.93°, intensity 85
2.198 Å, 41.06°, intensity 38
1.596 Å, 57.75°, intensity 26
1.554 Å, 59.47°, intensity 25
1.355 Å, 69.37°, intensity 24